No. 1
This entry pairs a crystal structure of YClO2 with its computed powder diffraction line list. Radiation: CuKα. Structure: DFT lattice parameters and positions (PBE).

Largest 6 diffraction maxima, sorted by position, 2θ from 10° to 90°:
2θ/deg, I/Imax
14.89, 28
20.57, 100
28.61, 28
29.01, 32
32.40, 38
41.07, 43

Cell and atoms:
a b c (Å): 11.896 3.596 6.278
angles (deg): 90.00 90.00 90.00
Space group Pnma (No. 62)
Unique sites:
Y1 0.081 0.250 0.248 x4
Cl1 0.239 0.750 0.404 x4
O1 0.029 0.250 0.597 x4
O2 0.064 0.750 0.991 x4

No. 2
This entry pairs a crystal structure of CaPd5 with its computed powder diffraction line list. Radiation: CuKα. Structure: DFT lattice parameters and positions (PBE).

Largest 6 diffraction maxima, sorted by position, 2θ from 10° to 90°:
2θ/deg, I/Imax
19.17, 71
38.90, 25
39.22, 100
40.14, 39
44.00, 82
84.31, 26

Cell and atoms:
a b c (Å): 5.3461 5.3461 4.4934
angles (deg): 90.00 90.00 120.00
Space group P6/mmm (No. 191)
Unique sites:
Ca1 0.0000 0.0000 0.0000 x1
Pd1 0.0000 0.5000 0.5000 x3
Pd2 0.3333 0.6667 0.0000 x2

No. 3
This entry pairs a crystal structure of LuTa3O9 with its computed powder diffraction line list. Radiation: CuKα. Structure: DFT lattice parameters and positions (PBE).

Largest 6 diffraction maxima, sorted by position, 2θ from 10° to 90°:
2θ/deg, I/Imax
23.76, 59
26.81, 100
28.06, 73
29.35, 59
31.58, 91
34.33, 55

Cell and atoms:
a b c (Å): 5.230 7.489 8.312
angles (deg): 90.00 92.63 90.00
Space group P2_1/m (No. 11)
Unique sites:
Lu1 0.037 0.250 0.435 x2
Ta1 0.000 0.000 0.000 x2
Ta2 0.468 0.006 0.694 x4
O1 0.097 0.250 0.976 x2
O2 0.145 0.568 0.783 x4
O3 0.253 0.545 0.468 x4
O4 0.329 0.553 0.121 x4
O5 0.330 0.250 0.651 x2
O6 0.413 0.250 0.317 x2

No. 4
This entry pairs a crystal structure of Y2Al9Pd3 with its computed powder diffraction line list. Radiation: CuKα. Structure: DFT lattice parameters and positions (PBE).

Largest 6 diffraction maxima, sorted by position, 2θ from 10° to 90°:
2θ/deg, I/Imax
29.90, 100
36.76, 49
37.83, 26
40.62, 63
40.82, 28
44.83, 25

Cell and atoms:
a b c (Å): 13.264 7.707 9.512
angles (deg): 90.00 90.00 90.00
Space group Cmcm (No. 63)
Unique sites:
Y1 0.163 0.168 0.250 x8
Al1 0.000 0.128 0.750 x4
Al2 0.000 0.334 0.059 x8
Al3 0.104 0.441 0.750 x8
Al4 0.167 0.167 0.576 x16
Pd1 0.000 0.000 0.000 x4
Pd2 0.171 0.500 0.000 x8

No. 5
This entry pairs a crystal structure of NaMg6BO8 with its computed powder diffraction line list. Radiation: CuKα. Structure: DFT lattice parameters and positions (PBE).

Largest 6 diffraction maxima, sorted by position, 2θ from 10° to 90°:
2θ/deg, I/Imax
36.56, 13
41.08, 100
45.15, 28
59.50, 28
62.67, 36
77.70, 22

Cell and atoms:
a b c (Å): 4.394 4.394 8.033
angles (deg): 90.00 90.00 90.00
Space group P4/mmm (No. 123)
Unique sites:
Na1 0.000 0.000 0.000 x1
Mg1 0.000 0.500 0.255 x4
Mg2 0.500 0.500 0.000 x1
Mg3 0.500 0.500 0.500 x1
B1 0.000 0.000 0.500 x1
O1 0.000 0.000 0.324 x2
O2 0.000 0.500 0.000 x2
O3 0.000 0.500 0.500 x2
O4 0.500 0.500 0.251 x2

No. 6
This entry pairs a crystal structure of Ag2S with its computed powder diffraction line list. Radiation: CuKα. Structure: DFT lattice parameters and positions (PBE).

Largest 6 diffraction maxima, sorted by position, 2θ from 10° to 90°:
2θ/deg, I/Imax
28.19, 32
32.70, 100
34.99, 22
37.32, 32
43.24, 18
48.03, 15

Cell and atoms:
a b c (Å): 4.819 6.969 7.577
angles (deg): 90.00 90.00 90.00
Space group Cmcm (No. 63)
Unique sites:
Ag1 0.000 0.000 0.000 x4
Ag2 0.000 0.380 0.250 x4
S1 0.000 0.220 0.750 x4